Diffraction record for YN3Cl6. The X-ray diffraction stick pattern is simulated, not measured: it uses a structure optimized by DFT (GGA-PBE) and copper Kα.

Cell: 8.8362 8.8362 8.8362 Å, 60.00 60.00 60.00°
Atoms (fractional coordinates):
1 Y 0.0000 0.0000 0.0000
2 N 0.2500 0.2500 0.2500
3 N 0.5000 0.5000 0.5000
4 N 0.7500 0.7500 0.7500
5 Cl 0.2096 0.2096 0.7904
6 Cl 0.2096 0.7904 0.2096
7 Cl 0.2096 0.7904 0.7904
8 Cl 0.7904 0.2096 0.2096
9 Cl 0.7904 0.2096 0.7904
10 Cl 0.7904 0.7904 0.2096

Main lines, in order of rising 2θ (2θ from 15° to 90°):
2θ 28.57, I = 100
2θ 32.03, I = 44
2θ 37.39, I = 64
2θ 40.85, I = 53
2θ 42.81, I = 33
2θ 52.28, I = 36

Diffraction record for Tb5Bi3. The X-ray diffraction stick pattern is simulated, not measured: it uses a structure optimized by DFT (GGA-PBE) and copper Kα.

Cell: 8.3022 9.5871 12.1118 Å, 90.00 90.00 90.00°
Atoms (fractional coordinates):
1 Tb 0.0246 0.2500 0.0117
2 Tb 0.1474 0.7500 0.2855
3 Tb 0.1868 0.2500 0.2805
4 Tb 0.1936 0.0627 0.5580
5 Tb 0.1936 0.4373 0.5580
6 Tb 0.3064 0.5627 0.0580
7 Tb 0.3064 0.9373 0.0580
8 Tb 0.3132 0.7500 0.7805
9 Tb 0.3526 0.2500 0.7855
10 Tb 0.4754 0.7500 0.5117
11 Tb 0.5246 0.2500 0.4883
12 Tb 0.6474 0.7500 0.2145
13 Tb 0.6868 0.2500 0.2195
14 Tb 0.6936 0.0627 0.9420
15 Tb 0.6936 0.4373 0.9420
16 Tb 0.8064 0.5627 0.4420
17 Tb 0.8064 0.9373 0.4420
18 Tb 0.8132 0.7500 0.7195
19 Tb 0.8526 0.2500 0.7145
20 Tb 0.9754 0.7500 0.9883
21 Bi 0.0648 0.0045 0.8253
22 Bi 0.0648 0.4955 0.8253
23 Bi 0.0914 0.7500 0.5431
24 Bi 0.4086 0.2500 0.0431
25 Bi 0.4352 0.5045 0.3253
26 Bi 0.4352 0.9955 0.3253
27 Bi 0.5648 0.0045 0.6747
28 Bi 0.5648 0.4955 0.6747
29 Bi 0.5914 0.7500 0.9569
30 Bi 0.9086 0.2500 0.4569
31 Bi 0.9352 0.5045 0.1747
32 Bi 0.9352 0.9955 0.1747

Main lines, in order of rising 2θ (2θ from 15° to 90°):
2θ 29.41, I = 65
2θ 30.89, I = 100
2θ 31.45, I = 50
2θ 32.13, I = 71
2θ 37.52, I = 39
2θ 59.41, I = 34

Diffraction record for Dy2CoGe4. The X-ray diffraction stick pattern is simulated, not measured: it uses a structure optimized by DFT (GGA-PBE) and copper Kα.

Cell: 4.1364 4.1409 15.8218 Å, 90.00 90.00 90.00°
Atoms (fractional coordinates):
1 Dy 0.0000 0.0000 0.0000
2 Dy 0.0000 0.5000 0.5000
3 Dy 0.5000 0.0000 0.2069
4 Dy 0.5000 0.5000 0.7069
5 Co 0.0000 0.0000 0.7961
6 Co 0.0000 0.5000 0.2961
7 Ge 0.0000 0.0000 0.3632
8 Ge 0.0000 0.0000 0.6511
9 Ge 0.0000 0.5000 0.1511
10 Ge 0.0000 0.5000 0.8632
11 Ge 0.5000 0.0000 0.5479
12 Ge 0.5000 0.0000 0.8615
13 Ge 0.5000 0.5000 0.0479
14 Ge 0.5000 0.5000 0.3615

Main lines, in order of rising 2θ (2θ from 15° to 90°):
2θ 24.28, I = 14
2θ 35.07, I = 100
2θ 35.71, I = 22
2θ 40.57, I = 19
2θ 43.75, I = 42
2θ 74.73, I = 22

Diffraction record for LaMg14Nb. The X-ray diffraction stick pattern is simulated, not measured: it uses a structure optimized by DFT (GGA-PBE) and copper Kα.

Cell: 10.4338 6.5438 6.5438 Å, 56.36 90.00 90.00°
Atoms (fractional coordinates):
1 La 0.0000 0.0000 0.0000
2 Mg 0.0000 0.0025 0.4968
3 Mg 0.0000 0.4968 0.0025
4 Mg 0.2422 0.6584 0.6584
5 Mg 0.2541 0.1711 0.6542
6 Mg 0.2541 0.6542 0.1711
7 Mg 0.2590 0.1659 0.1659
8 Mg 0.5000 0.4981 0.4981
9 Mg 0.5000 0.4988 0.9974
10 Mg 0.5000 0.9974 0.4988
11 Mg 0.5000 0.9975 0.9975
12 Mg 0.7410 0.1659 0.1659
13 Mg 0.7459 0.1711 0.6542
14 Mg 0.7459 0.6542 0.1711
15 Mg 0.7578 0.6584 0.6584
16 Nb 0.0000 0.4951 0.4951

Main lines, in order of rising 2θ (2θ from 15° to 90°):
2θ 15.36, I = 27
2θ 17.57, I = 40
2θ 32.88, I = 31
2θ 34.38, I = 41
2θ 35.57, I = 60
2θ 37.24, I = 100

Diffraction record for Ga4Cu9. The X-ray diffraction stick pattern is simulated, not measured: it uses a structure optimized by DFT (GGA-PBE) and copper Kα.

Cell: 8.7433 8.7433 8.7433 Å, 90.00 90.00 90.00°
Atoms (fractional coordinates):
1 Ga 0.0352 0.3090 0.3090
2 Ga 0.0352 0.6910 0.6910
3 Ga 0.3090 0.0352 0.3090
4 Ga 0.3090 0.3090 0.0352
5 Ga 0.3090 0.6910 0.9648
6 Ga 0.3090 0.9648 0.6910
7 Ga 0.3809 0.3809 0.6191
8 Ga 0.3809 0.6191 0.3809
9 Ga 0.6191 0.3809 0.3809
10 Ga 0.6191 0.6191 0.6191
11 Ga 0.6910 0.0352 0.6910
12 Ga 0.6910 0.3090 0.9648
13 Ga 0.6910 0.6910 0.0352
14 Ga 0.6910 0.9648 0.3090
15 Ga 0.9648 0.3090 0.6910
16 Ga 0.9648 0.6910 0.3090
17 Cu 0.0000 0.0000 0.3566
18 Cu 0.0000 0.0000 0.6434
19 Cu 0.0000 0.3566 0.0000
20 Cu 0.0000 0.6434 0.0000
21 Cu 0.1051 0.1051 0.1051
22 Cu 0.1051 0.8949 0.8949
23 Cu 0.1437 0.5000 0.5000
24 Cu 0.1736 0.1736 0.8264
25 Cu 0.1736 0.8264 0.1736
26 Cu 0.1854 0.1854 0.5331
27 Cu 0.1854 0.4669 0.8146
28 Cu 0.1854 0.5331 0.1854
29 Cu 0.1854 0.8146 0.4669
30 Cu 0.3284 0.3284 0.3284
31 Cu 0.3284 0.6716 0.6716
32 Cu 0.3566 0.0000 0.0000
33 Cu 0.4669 0.1854 0.8146
34 Cu 0.4669 0.8146 0.1854
35 Cu 0.5000 0.1437 0.5000
36 Cu 0.5000 0.5000 0.1437
37 Cu 0.5000 0.5000 0.8563
38 Cu 0.5000 0.8563 0.5000
39 Cu 0.5331 0.1854 0.1854
40 Cu 0.5331 0.8146 0.8146
41 Cu 0.6434 0.0000 0.0000
42 Cu 0.6716 0.3284 0.6716
43 Cu 0.6716 0.6716 0.3284
44 Cu 0.8146 0.1854 0.4669
45 Cu 0.8146 0.4669 0.1854
46 Cu 0.8146 0.5331 0.8146
47 Cu 0.8146 0.8146 0.5331
48 Cu 0.8264 0.1736 0.1736
49 Cu 0.8264 0.8264 0.8264
50 Cu 0.8563 0.5000 0.5000
51 Cu 0.8949 0.1051 0.8949
52 Cu 0.8949 0.8949 0.1051

Main lines, in order of rising 2θ (2θ from 15° to 90°):
2θ 35.57, I = 6
2θ 43.94, I = 100
2θ 48.86, I = 5
2θ 63.88, I = 9
2θ 75.31, I = 5
2θ 80.77, I = 18

Diffraction record for Mo3WSe4S4. The X-ray diffraction stick pattern is simulated, not measured: it uses a structure optimized by DFT (GGA-PBE) and copper Kα.

Cell: 3.2572 3.2572 36.8868 Å, 90.00 90.00 120.00°
Atoms (fractional coordinates):
1 Mo 0.0000 0.0000 0.0000
2 Mo 0.0000 0.0000 0.3758
3 Mo 0.6667 0.3333 0.8122
4 W 0.6667 0.3333 0.1879
5 Se 0.0000 0.0000 0.1416
6 Se 0.0000 0.0000 0.2342
7 Se 0.6667 0.3333 0.0460
8 Se 0.6667 0.3333 0.9540
9 S 0.0000 0.0000 0.7703
10 S 0.0000 0.0000 0.8540
11 S 0.6667 0.3333 0.3339
12 S 0.6667 0.3333 0.4176

Main lines, in order of rising 2θ (2θ from 15° to 90°):
2θ 31.75, I = 59
2θ 37.37, I = 100
2θ 38.75, I = 25
2θ 45.33, I = 64
2θ 47.20, I = 26
2θ 56.52, I = 41

Diffraction record for Cs2AlTlH6. The X-ray diffraction stick pattern is simulated, not measured: it uses a structure optimized by DFT (GGA-PBE) and copper Kα.

Cell: 6.3054 6.3054 6.3054 Å, 60.00 60.00 60.00°
Atoms (fractional coordinates):
1 Cs 0.2500 0.2500 0.2500
2 Cs 0.7500 0.7500 0.7500
3 Al 0.0000 0.0000 0.0000
4 Tl 0.5000 0.5000 0.5000
5 H 0.2017 0.2017 0.7983
6 H 0.2017 0.7983 0.2017
7 H 0.2017 0.7983 0.7983
8 H 0.7983 0.2017 0.2017
9 H 0.7983 0.2017 0.7983
10 H 0.7983 0.7983 0.2017

Main lines, in order of rising 2θ (2θ from 15° to 90°):
2θ 17.22, I = 25
2θ 28.31, I = 100
2θ 40.46, I = 20
2θ 50.12, I = 41
2θ 66.29, I = 18
2θ 80.62, I = 21